Theoretical X-ray diffraction stick pattern
Compound: TaCr3Cu2S8
Radiation: Cu Kα
Structure: the GGA-PBE geometry in the Materials Project

Top 10 peaks for 10 to 90 degrees two-theta, sorted by position:
2θ (°)  intensity  h k l
15.26  45  0 1 1
19.89  35  1 1 1
25.26  25  1 1 2
29.48  34  1 2 1
29.68  43  0 1 3
29.85  100  2 1 1
35.96  51  2 2 0
36.08  25  0 0 4
47.08  27  2 3 1
51.86  83  2 2 4

Structural model:
Unit cell a=6.9848 b=7.1451 c=9.9567 alpha=90.00 beta=90.00 gamma=90.00
Fractional coordinates of all 28 atoms:
Ta1 0.0000 0.2343 0.2500
Ta2 0.0000 0.7657 0.7500
Cr1 0.2450 0.0000 0.0000
Cr2 0.2455 0.5000 0.0000
Cr3 0.5000 0.2482 0.2500
Cr4 0.5000 0.7518 0.7500
Cr5 0.7550 0.0000 0.5000
Cr6 0.7545 0.5000 0.5000
Cu1 0.2657 0.2596 0.6238
Cu2 0.2657 0.7404 0.3762
Cu3 0.7343 0.2596 0.8762
Cu4 0.7343 0.7404 0.1238
S1 0.0071 0.2500 0.0035
S2 0.0071 0.7500 0.9965
S3 0.2506 0.4826 0.2427
S4 0.2506 0.5174 0.7573
S5 0.2579 0.0031 0.2433
S6 0.2579 0.9969 0.7567
S7 0.4734 0.2492 0.0097
S8 0.4734 0.7508 0.9903
S9 0.5266 0.2492 0.4903
S10 0.5266 0.7508 0.5097
S11 0.7421 0.0031 0.2567
S12 0.7421 0.9969 0.7433
S13 0.7494 0.4826 0.2573
S14 0.7494 0.5174 0.7427
S15 0.9929 0.2500 0.4965
S16 0.9929 0.7500 0.5035



Theoretical X-ray diffraction stick pattern
Compound: TaCr3Cu2S8
Radiation: Cu Kα
Structure: the GGA-PBE geometry in the Materials Project

Top 10 peaks for 10 to 90 degrees two-theta, sorted by position:
2θ (°)  intensity  h k l
14.57  66  0 1 1
21.32  100  1 0 -2
21.42  59  1 1 1
29.93  95  1 1 -3
30.19  91  1 1 3
30.73  62  1 2 -1
33.51  76  1 0 -4
43.38  60  2 2 -2
43.63  58  2 2 2
52.56  88  0 2 6

Structural model:
Unit cell a=5.7064 b=7.0476 c=12.0173 alpha=90.00 beta=90.62 gamma=90.00
Fractional coordinates of all 28 atoms:
Ta1 0.0208 0.2500 0.2488
Ta2 0.9792 0.7500 0.7512
Cr1 0.0000 0.0000 0.5000
Cr2 0.0000 0.5000 0.5000
Cr3 0.4814 0.2500 0.7437
Cr4 0.5000 0.0000 0.0000
Cr5 0.5000 0.5000 0.0000
Cr6 0.5186 0.7500 0.2563
Cu1 0.0900 0.2500 0.9073
Cu2 0.3924 0.2500 0.4067
Cu3 0.6076 0.7500 0.5933
Cu4 0.9100 0.7500 0.0927
S1 0.2171 0.7500 0.5821
S2 0.2361 0.2500 0.5817
S3 0.2393 0.5120 0.3308
S4 0.2393 0.9880 0.3308
S5 0.2578 0.2500 0.0830
S6 0.2654 0.5067 0.8312
S7 0.2654 0.9933 0.8312
S8 0.2985 0.7500 0.0874
S9 0.7015 0.2500 0.9126
S10 0.7346 0.0067 0.1688
S11 0.7346 0.4933 0.1688
S12 0.7422 0.7500 0.9170
S13 0.7607 0.0120 0.6692
S14 0.7607 0.4880 0.6692
S15 0.7639 0.7500 0.4183
S16 0.7829 0.2500 0.4179